Structure and calculated powder X-ray diffraction pattern of Li2AlZn3Pt2 (DFT lattice parameters and positions (PBE); CuKα).
Peak positions follow from Bragg's law for the DFT cell and can differ from measured ones.

Structural model:
```
data_Li2AlZn3Pt2
_chemical_formula_sum 'Li2 Al1 Zn3 Pt2'
_symmetry_space_group_name_H-M 'P -4 m 2'
_symmetry_Int_Tables_number 115
_symmetry_space_group_name_Hall 'P -4 -2'
_cell_length_a 4.302
_cell_length_b 4.302
_cell_length_c 6.092
_cell_angle_alpha 90.00
_cell_angle_beta 90.00
_cell_angle_gamma 90.00
loop_
_atom_site_label
_atom_site_type_symbol
_atom_site_fract_x
_atom_site_fract_y
_atom_site_fract_z
Li1 Li 0.000 0.500 0.240
Al1 Al 0.000 0.000 0.500
Zn1 Zn 0.000 0.000 0.000
Zn2 Zn 0.500 0.500 0.000
Zn3 Zn 0.500 0.500 0.500
Pt1 Pt 0.000 0.500 0.740
```

Main lines, low angle first (10 to 80 degrees two-theta):
- 2θ 25.3, I = 88
- 2θ 29.3, I = 7
- 2θ 42.0, I = 100
- 2θ 49.7, I = 43
- 2θ 60.8, I = 5
- 2θ 60.9, I = 11
- 2θ 67.0, I = 18
- 2θ 76.7, I = 33